Calculated powder diffractogram of NaLi5Fe2P2C2O14 for Cu Kα X-rays, from a crystal structure in the Materials Project, relaxed with GGA+U.
No peak broadening, texture or thermal motion is included.

Top 6 peaks for 10° ≤ 2θ ≤ 90°, most intense first:
2θ 10.39, I 100
2θ 27.27, I 100
2θ 21.14, I 43
2θ 26.43, I 38
2θ 19.84, I 35
2θ 31.55, I 33

Atomic structure:
```
NaLi5Fe2P2C2O14
1.0
8.5360 0.0000 0.0000
0.0000 6.5409 0.0000
-0.7223 0.0000 10.0682
Na Li Fe P C O
2 10 4 4 4 28
Cartesian
1.8026 0.0000 3.8089 Na
6.0110 3.2705 6.2592 Na
1.6446 3.1313 3.7587 Li
1.2878 3.0875 8.7764 Li
1.3101 0.1210 8.8132 Li
3.0258 1.6278 6.3328 Li
3.4424 1.6659 1.2402 Li
4.3712 4.9364 8.8279 Li
4.7879 4.8982 3.7353 Li
6.5036 3.3914 1.2549 Li
6.5259 6.3580 1.2917 Li
6.1690 6.4017 6.3095 Li
0.8967 4.8887 6.5127 Fe
1.2796 4.8692 1.4183 Fe
6.5340 1.5987 8.6498 Fe
6.9170 1.6182 3.5555 Fe
0.3261 1.6149 6.1338 P
0.6983 1.6328 1.0387 P
7.1154 4.9033 9.0295 P
7.4876 4.8854 3.9343 P
3.4901 4.9421 6.0928 C
3.8960 4.9002 1.0716 C
3.9177 1.6297 8.9966 C
4.3235 1.6717 3.9753 C
0.2599 1.7536 4.5820 O
-0.0674 1.6638 9.5430 O
0.3855 4.7309 3.3781 O
0.0358 4.9440 8.4952 O
1.0794 2.8403 6.7398 O
1.4946 0.3796 1.4986 O
1.5624 2.8205 1.5713 O
1.2391 0.4094 6.5386 O
2.5914 4.8089 5.1487 O
3.0439 4.8745 0.0788 O
2.6463 1.6122 9.2545 O
3.0838 1.8278 4.3102 O
3.4462 4.9400 2.2948 O
3.1025 4.9113 7.3347 O
4.7112 1.6408 2.7334 O
4.3675 1.6695 7.7733 O
4.7299 5.0983 5.7580 O
5.1674 4.8827 0.8136 O
4.7698 1.6041 9.9894 O
5.2223 1.5385 4.9194 O
6.5745 3.6799 3.5295 O
6.2512 6.0909 8.4969 O
6.3191 3.6501 8.5696 O
6.7343 6.1108 3.3284 O
7.7778 1.6735 1.5730 O
7.4282 1.4605 6.6901 O
7.8810 4.9342 0.5251 O
7.5537 5.0241 5.4862 O
```



Calculated powder diffractogram of Mn2Fe3Co3O16 for Cu Kα X-rays, from a crystal structure in the Materials Project, relaxed with GGA+U.
No peak broadening, texture or thermal motion is included.

Top 6 peaks for 10° ≤ 2θ ≤ 90°, most intense first:
2θ 20.07, I 100
2θ 37.71, I 48
2θ 20.29, I 43
2θ 37.29, I 38
2θ 20.60, I 38
2θ 64.64, I 29

Atomic structure:
```
Mn2Fe3Co3O16
1.0
5.0028 -2.8765 0.0000
5.0028 2.8765 0.0000
-0.3135 0.0000 8.8486
Mn Fe Co O
2 3 3 16
Cartesian
0.0000 0.0000 0.0000 Mn
6.4866 0.0000 4.4389 Mn
4.0361 1.4404 2.4365 Fe
4.7232 0.0000 6.8540 Fe
4.0361 -1.4404 2.4365 Fe
1.5349 0.0000 2.4580 Co
7.2304 1.4363 6.8706 Co
7.2304 -1.4363 6.8706 Co
-0.0979 0.0000 3.4182 O
3.8400 1.4357 7.8150 O
1.4053 0.0000 7.7429 O
5.7331 1.6468 1.2591 O
3.1696 0.0000 1.4999 O
3.0478 0.0000 5.9155 O
5.7526 1.2818 5.7044 O
7.3115 1.4435 3.4054 O
4.8887 0.0000 3.4102 O
3.8400 -1.4357 7.8150 O
6.4002 0.0000 7.8176 O
7.8946 0.0000 5.7989 O
5.7526 -1.2818 5.7044 O
8.4940 0.0000 1.1786 O
5.7331 -1.6468 1.2591 O
7.3115 -1.4435 3.4054 O
```



Calculated powder diffractogram of LiV3O4F8 for Cu Kα X-rays, from a crystal structure in the Materials Project, relaxed with GGA+U.
No peak broadening, texture or thermal motion is included.

Top 6 peaks for 10° ≤ 2θ ≤ 90°, most intense first:
2θ 13.47, I 100
2θ 18.75, I 82
2θ 24.34, I 44
2θ 31.22, I 40
2θ 25.94, I 37
2θ 28.14, I 33

Atomic structure:
```
LiV3O4F8
1.0
5.4399 0.0000 0.0000
-0.2833 5.8317 0.0000
-1.6444 -1.6744 6.5729
Li V O F
1 3 4 8
Cartesian
0.0000 0.0000 0.0000 Li
-0.4010 0.1593 3.5659 V
0.8485 2.9690 4.7229 V
3.4683 2.6792 2.3076 V
-0.4513 2.0078 3.4906 O
0.5019 4.4875 4.0326 O
2.2757 2.5787 3.8321 O
3.9410 4.2362 2.6106 O
0.4819 0.1473 1.9694 F
-0.6621 2.9274 5.8509 F
0.7672 0.7883 4.9642 F
1.9987 2.7743 1.3224 F
1.7758 3.3867 6.2572 F
3.4095 0.6132 2.5753 F
4.4740 2.2823 0.8679 F
3.9085 -0.3669 4.8769 F
```



Calculated powder diffractogram of Li2MnVP3O12 for Cu Kα X-rays, from a crystal structure in the Materials Project, relaxed with GGA+U.
No peak broadening, texture or thermal motion is included.

Top 6 peaks for 10° ≤ 2θ ≤ 90°, most intense first:
2θ 14.72, I 100
2θ 24.66, I 69
2θ 14.08, I 61
2θ 32.15, I 55
2θ 23.64, I 55
2θ 19.73, I 55

Atomic structure:
```
Li2MnVP3O12
1.0
8.2239 0.0000 0.0000
-3.9892 7.4107 0.0000
-0.0459 -4.6961 7.5416
Li Mn V P O
4 2 2 6 24
Cartesian
-0.9410 2.3670 1.0648 Li
2.4361 -0.1430 0.9969 Li
1.7527 2.8575 6.5447 Li
5.1298 0.3475 6.4767 Li
0.1013 4.9240 0.3865 Mn
4.0875 -2.2094 7.1550 Mn
0.0364 0.0518 3.2915 V
4.1524 2.6628 4.2501 V
-2.8520 4.7096 1.8558 P
-1.1011 2.2523 5.6198 P
1.8206 2.5356 1.8750 P
2.3682 0.1789 5.6666 P
5.2899 0.4622 1.9217 P
7.0408 -1.9951 5.6858 P
-0.7402 -1.2880 4.4035 O
-2.5408 2.8050 5.3686 O
1.0704 -1.1538 2.0715 O
-0.2989 -1.6334 6.8815 O
-1.3632 4.3073 1.5751 O
-0.6872 1.4833 4.3645 O
-1.3362 1.2736 6.8523 O
0.6219 1.5626 2.0337 O
1.6054 0.1086 4.3167 O
-0.1060 3.3365 5.9939 O
2.7367 1.8422 0.8150 O
1.3809 3.9364 1.4910 O
2.8079 -1.2219 6.0505 O
1.4521 0.8723 6.7266 O
4.2948 -0.6219 1.5476 O
2.5834 2.6059 3.2249 O
3.5669 1.1519 5.5079 O
5.5250 1.4409 0.6892 O
4.8760 1.2312 3.1770 O
5.5520 -1.5928 5.9664 O
4.4877 4.3480 0.6601 O
3.1184 3.8684 5.4700 O
6.7296 -0.0905 2.1729 O
4.9290 4.0025 3.1380 O
```



Calculated powder diffractogram of SrMgNi4O8 for Cu Kα X-rays, from a crystal structure in the Materials Project, relaxed with GGA+U.
No peak broadening, texture or thermal motion is included.

Top 6 peaks for 10° ≤ 2θ ≤ 90°, most intense first:
2θ 16.23, I 100
2θ 41.11, I 89
2θ 42.78, I 37
2θ 35.18, I 32
2θ 32.80, I 31
2θ 36.73, I 31

Atomic structure:
```
SrMgNi4O8
1.0
5.0262 -3.0007 0.0000
5.0262 3.0007 0.0000
-3.5121 0.0000 5.4612
Sr Mg Ni O
1 1 4 8
Cartesian
0.0000 0.0000 0.0000 Sr
3.0890 0.0000 5.1569 Mg
-1.7333 0.0000 2.7634 Ni
0.7757 1.4675 2.7475 Ni
3.3077 0.0000 2.6168 Ni
0.7757 -1.4675 2.7475 Ni
-0.0252 0.0000 3.6825 O
2.3974 1.4169 3.8248 O
1.7647 0.0000 1.6152 O
4.2048 1.4996 1.7340 O
4.7228 0.0000 3.8826 O
2.3974 -1.4169 3.8248 O
6.5981 0.0000 1.7303 O
4.2048 -1.4996 1.7340 O
```



Calculated powder diffractogram of HoZnMo2O6 for Cu Kα X-rays, from a crystal structure in the Materials Project, relaxed with GGA+U.
No peak broadening, texture or thermal motion is included.

Top 6 peaks for 10° ≤ 2θ ≤ 90°, most intense first:
2θ 31.96, I 100
2θ 32.11, I 98
2θ 33.06, I 44
2θ 31.73, I 43
2θ 46.48, I 37
2θ 56.72, I 27

Atomic structure:
```
HoZnMo2O6
1.0
5.4190 0.0000 0.0000
0.0000 5.6406 0.0000
-5.3689 0.0000 7.9902
Ho Zn Mo O
2 2 4 12
Cartesian
0.0000 1.0552 0.0000 Ho
-2.6844 4.5853 3.9951 Ho
-0.0179 1.4333 3.9827 Zn
-2.7023 4.2073 7.9778 Zn
-2.7453 1.4918 5.9996 Mo
-0.0608 4.1488 2.0045 Mo
2.6442 1.4662 1.9785 Mo
-0.0402 4.1743 5.9736 Mo
-0.9945 0.3329 2.5384 O
-3.6789 5.3076 6.5335 O
0.8468 2.4499 1.4604 O
-1.8376 3.1906 5.4555 O
-1.0750 0.3819 5.4201 O
1.6094 5.2586 1.4249 O
-2.0254 1.8469 7.9546 O
0.6591 3.7936 3.9595 O
1.9315 1.0743 4.0171 O
4.6159 4.5662 0.0220 O
0.9593 2.4035 6.5275 O
3.6437 3.2371 2.5323 O
```